Diffraction record for VOF3. The PXRD pattern is simulated, not measured: it uses a DFT-relaxed cell (GGA+U, the Materials Project) and Cu Ka.
Peak positions follow from Bragg's law for the DFT cell and can differ from measured ones.

Structure:
```
data_VOF3
_chemical_formula_sum 'V4 O4 F12'
_symmetry_space_group_name_H-M 'P 1 21/c 1'
_symmetry_Int_Tables_number 14
_cell_length_a 4.9756
_cell_length_b 12.4539
_cell_length_c 4.9089
_cell_angle_alpha 90.00
_cell_angle_beta 94.45
_cell_angle_gamma 90.00
loop_
_symmetry_equiv_pos_as_xyz
'x,y,z'
'-x,-y,-z'
'-x,y+1/2,-z+1/2'
'x,-y+1/2,z+1/2'
loop_
_atom_site_label
_atom_site_fract_x
_atom_site_fract_y
_atom_site_fract_z
V1 0.0379 0.1594 0.2883
O1 0.1806 0.5779 0.1119
F1 0.1429 0.7066 0.5475
F2 0.2593 0.1919 0.5930
F3 0.2690 0.0754 0.1394
```

Main lines, in order of rising 2θ (10 to 80 degrees two-theta):
14.2 deg, d 6.227, I = 40; 17.9 deg, d 4.961, I = 100; 22.9 deg, d 3.880, I = 19; 23.1 deg, d 3.848, I = 77; 28.5 deg, d 3.135, I = 29; 30.3 deg, d 2.954, I = 22; 38.1 deg, d 2.363, I = 45; 42.4 deg, d 2.130, I = 17; 43.1 deg, d 2.099, I = 9; 49.5 deg, d 1.842, I = 21


Diffraction record for V2O3F. The PXRD pattern is simulated, not measured: it uses a DFT-relaxed cell (GGA+U, the Materials Project) and Cu Ka.
Peak positions follow from Bragg's law for the DFT cell and can differ from measured ones.

Structure:
```
data_V2O3F
_chemical_formula_sum 'V16 O24 F8'
_symmetry_space_group_name_H-M 'C 1 2/m 1'
_symmetry_Int_Tables_number 12
_cell_length_a 9.4117
_cell_length_b 5.7975
_cell_length_c 10.2043
_cell_angle_alpha 90.00
_cell_angle_beta 113.47
_cell_angle_gamma 90.00
loop_
_symmetry_equiv_pos_as_xyz
'x,y,z'
'-x,-y,-z'
'-x,y,-z'
'x,-y,z'
'x+1/2,y+1/2,z'
'-x+1/2,-y+1/2,-z'
'-x+1/2,y+1/2,-z'
'x+1/2,-y+1/2,z'
loop_
_atom_site_label
_atom_site_fract_x
_atom_site_fract_y
_atom_site_fract_z
V1 0.0000 0.0000 0.0000
V2 0.0000 0.5000 0.0000
V3 0.1306 0.2348 0.7527
V4 0.2064 0.5000 0.4728
O1 0.0087 0.5000 0.3424
O2 0.0519 0.2456 0.8990
O3 0.2019 0.2477 0.5969
O4 0.2198 0.5000 0.1493
F1 0.0256 0.0000 0.3529
F2 0.2215 0.0000 0.1472
```

Main lines, in order of rising 2θ (10 to 80 degrees two-theta):
25.9 deg, d 3.434, I = 97; 27.8 deg, d 3.207, I = 100; 36.4 deg, d 2.465, I = 89; 40.7 deg, d 2.215, I = 24; 42.0 deg, d 2.150, I = 19; 52.9 deg, d 1.730, I = 51; 55.0 deg, d 1.669, I = 52; 57.5 deg, d 1.603, I = 19; 64.3 deg, d 1.450, I = 19; 68.3 deg, d 1.374, I = 19


Diffraction record for V3OF7. The PXRD pattern is simulated, not measured: it uses a DFT-relaxed cell (GGA+U, the Materials Project) and Cu Ka.
Peak positions follow from Bragg's law for the DFT cell and can differ from measured ones.

Structure:
```
data_V3OF7
_chemical_formula_sum 'V6 O2 F14'
_symmetry_space_group_name_H-M 'P 1'
_symmetry_Int_Tables_number 1
_cell_length_a 4.0249
_cell_length_b 7.9624
_cell_length_c 10.0067
_cell_angle_alpha 89.93
_cell_angle_beta 89.44
_cell_angle_gamma 75.55
loop_
_symmetry_equiv_pos_as_xyz
'x,y,z'
loop_
_atom_site_label
_atom_site_fract_x
_atom_site_fract_y
_atom_site_fract_z
V1 0.0000 0.0000 0.0000
V2 0.0034 0.0002 0.3547
V3 0.6418 0.7140 0.4999
V4 0.6452 0.7148 0.8546
V5 0.7844 0.4377 0.1769
V6 0.8599 0.2767 0.6771
O1 0.0340 0.9368 0.1771
O2 0.6123 0.7777 0.6770
F1 0.1232 0.7543 0.4603
F2 0.1228 0.7573 0.8931
F3 0.2850 0.4334 0.1763
F4 0.3595 0.2817 0.6767
F5 0.5221 0.9594 0.9608
F6 0.5232 0.9579 0.3940
F7 0.6815 0.6226 0.0415
F8 0.6949 0.6194 0.3118
F9 0.7721 0.4638 0.5430
F10 0.7765 0.4651 0.8109
F11 0.8614 0.2508 0.0437
F12 0.8835 0.2491 0.3112
F13 0.9478 0.0919 0.5427
F14 0.9675 0.0939 0.8123
```

Main lines, in order of rising 2θ (10 to 80 degrees two-theta):
21.2 deg, d 4.197, I = 90; 22.8 deg, d 3.894, I = 100; 24.7 deg, d 3.597, I = 43; 28.2 deg, d 3.169, I = 15; 29.2 deg, d 3.061, I = 39; 43.1 deg, d 2.098, I = 10; 44.5 deg, d 2.036, I = 28; 45.1 deg, d 2.012, I = 39; 51.4 deg, d 1.776, I = 21; 55.0 deg, d 1.668, I = 23


Diffraction record for V6O11F. The PXRD pattern is simulated, not measured: it uses a DFT-relaxed cell (GGA+U, the Materials Project) and Cu Ka.
Peak positions follow from Bragg's law for the DFT cell and can differ from measured ones.

Structure:
```
data_V6O11F
_chemical_formula_sum 'V12 O22 F2'
_symmetry_space_group_name_H-M 'A m m 2'
_symmetry_Int_Tables_number 38
_cell_length_a 8.9777
_cell_length_b 6.4228
_cell_length_c 6.6441
_cell_angle_alpha 90.00
_cell_angle_beta 90.00
_cell_angle_gamma 90.00
loop_
_symmetry_equiv_pos_as_xyz
'x,y,z'
'-x,-y,z'
'-x,y,z'
'x,-y,z'
'x,y+1/2,z+1/2'
'-x,-y+1/2,z+1/2'
'-x,y+1/2,z+1/2'
'x,-y+1/2,z+1/2'
loop_
_atom_site_label
_atom_site_fract_x
_atom_site_fract_y
_atom_site_fract_z
V1 0.0000 0.0000 0.0000
V2 0.1681 0.0000 0.4706
V3 0.3191 0.0000 0.9747
V4 0.5000 0.0000 0.5252
O1 0.0000 0.1933 0.4952
O2 0.1731 0.0000 0.1940
O3 0.1760 0.0000 0.7925
O4 0.3356 0.1965 0.4955
O5 0.5000 0.0000 0.7980
F1 0.5000 0.0000 0.1873
```

Main lines, in order of rising 2θ (10 to 80 degrees two-theta):
26.8 deg, d 3.322, I = 97; 27.8 deg, d 3.211, I = 100; 35.8 deg, d 2.511, I = 96; 40.6 deg, d 2.223, I = 20; 41.2 deg, d 2.189, I = 19; 53.4 deg, d 1.716, I = 53; 54.5 deg, d 1.684, I = 57; 57.4 deg, d 1.606, I = 17; 62.0 deg, d 1.496, I = 16; 68.6 deg, d 1.369, I = 39


Diffraction record for V6O5F19. The PXRD pattern is simulated, not measured: it uses a DFT-relaxed cell (GGA+U, the Materials Project) and Cu Ka.
Peak positions follow from Bragg's law for the DFT cell and can differ from measured ones.

Structure:
```
data_V6O5F19
_chemical_formula_sum 'V6 O5 F19'
_symmetry_space_group_name_H-M 'P 1'
_symmetry_Int_Tables_number 1
_cell_length_a 5.3832
_cell_length_b 5.5873
_cell_length_c 14.9414
_cell_angle_alpha 79.46
_cell_angle_beta 89.60
_cell_angle_gamma 86.40
loop_
_symmetry_equiv_pos_as_xyz
'x,y,z'
loop_
_atom_site_label
_atom_site_fract_x
_atom_site_fract_y
_atom_site_fract_z
V1 0.0000 0.0000 0.0000
V2 0.9995 0.3340 0.3320
V3 0.0727 0.7673 0.6570
V4 0.4943 0.5092 0.9929
V5 0.4937 0.8421 0.3260
V6 0.5556 0.2273 0.6651
O1 0.2259 0.0124 0.6313
O2 0.2766 0.3363 0.9777
O3 0.2769 0.6670 0.3121
O4 0.8177 0.1125 0.3458
O5 0.8202 0.7771 0.0147
F1 0.1143 0.6686 0.7754
F2 0.1279 0.3201 0.4421
F3 0.1284 0.9924 0.1099
F4 0.3018 0.1571 0.3004
F5 0.3035 0.8242 0.9691
F6 0.3450 0.5349 0.6404
F7 0.4273 0.1514 0.7748
F8 0.4729 0.8611 0.4431
F9 0.4746 0.5218 0.1106
F10 0.6116 0.2526 0.5473
F11 0.6251 0.9222 0.2162
F12 0.6256 0.5895 0.8830
F13 0.7495 0.9075 0.6850
F14 0.7623 0.2581 0.0245
F15 0.7653 0.5945 0.3579
F16 0.8264 0.3762 0.6948
F17 0.9409 0.7180 0.5541
F18 0.9666 0.1256 0.8826
F19 0.9706 0.4644 0.2149
```

Main lines, in order of rising 2θ (10 to 80 degrees two-theta):
18.1 deg, d 4.896, I = 100; 24.0 deg, d 3.708, I = 50; 24.1 deg, d 3.692, I = 49; 25.4 deg, d 3.505, I = 86; 32.1 deg, d 2.788, I = 14; 36.7 deg, d 2.448, I = 12; 45.4 deg, d 1.998, I = 13; 48.5 deg, d 1.877, I = 15; 52.2 deg, d 1.753, I = 18; 52.7 deg, d 1.736, I = 12


Diffraction record for V3O4F2. The PXRD pattern is simulated, not measured: it uses a DFT-relaxed cell (GGA+U, the Materials Project) and Cu Ka.
Peak positions follow from Bragg's law for the DFT cell and can differ from measured ones.

Structure:
```
data_V3O4F2
_chemical_formula_sum 'V6 O8 F4'
_symmetry_space_group_name_H-M 'P 1 21 1'
_symmetry_Int_Tables_number 4
_cell_length_a 5.6225
_cell_length_b 4.6780
_cell_length_c 7.7167
_cell_angle_alpha 90.00
_cell_angle_beta 93.90
_cell_angle_gamma 90.00
loop_
_symmetry_equiv_pos_as_xyz
'x,y,z'
'-x,y+1/2,-z'
loop_
_atom_site_label
_atom_site_fract_x
_atom_site_fract_y
_atom_site_fract_z
V1 0.0769 0.0000 0.3374
V2 0.2454 0.4662 0.0012
V3 0.4226 0.9205 0.6605
O1 0.0487 0.1568 0.1035
O2 0.1285 0.7818 0.5644
O3 0.3856 0.1844 0.4427
O4 0.4476 0.7810 0.8903
F1 0.2246 0.2643 0.7601
F2 0.2885 0.6733 0.2401
```

Main lines, in order of rising 2θ (10 to 80 degrees two-theta):
26.9 deg, d 3.311, I = 100; 34.8 deg, d 2.579, I = 13; 34.9 deg, d 2.570, I = 38; 39.9 deg, d 2.259, I = 11; 52.7 deg, d 1.736, I = 16; 52.8 deg, d 1.733, I = 14; 53.0 deg, d 1.728, I = 29; 55.5 deg, d 1.656, I = 17; 67.0 deg, d 1.397, I = 12; 67.3 deg, d 1.391, I = 15


Diffraction record for V2O3F3. The PXRD pattern is simulated, not measured: it uses a DFT-relaxed cell (GGA+U, the Materials Project) and Cu Ka.
Peak positions follow from Bragg's law for the DFT cell and can differ from measured ones.

Structure:
```
data_V2O3F3
_chemical_formula_sum 'V6 O9 F9'
_symmetry_space_group_name_H-M 'P 1'
_symmetry_Int_Tables_number 1
_cell_length_a 5.1856
_cell_length_b 5.2413
_cell_length_c 13.2466
_cell_angle_alpha 89.13
_cell_angle_beta 89.17
_cell_angle_gamma 60.49
loop_
_symmetry_equiv_pos_as_xyz
'x,y,z'
loop_
_atom_site_label
_atom_site_fract_x
_atom_site_fract_y
_atom_site_fract_z
V1 0.0000 0.0000 0.0000
V2 0.0166 0.9536 0.5170
V3 0.3795 0.3019 0.8407
V4 0.4113 0.3016 0.3437
V5 0.6704 0.6341 0.6708
V6 0.7145 0.6701 0.1822
O1 0.1189 0.1992 0.9339
O2 0.3847 0.7101 0.5947
O3 0.4565 0.5210 0.2609
O4 0.5961 0.3844 0.7663
O5 0.6023 0.9560 0.2627
O6 0.6939 0.2038 0.4242
O7 0.7008 0.0536 0.9349
O8 0.8064 0.8683 0.5952
O9 0.9367 0.7183 0.1005
F1 0.0124 0.5513 0.7662
F2 0.0209 0.3804 0.2632
F3 0.1103 0.6140 0.4251
F4 0.2667 0.0443 0.4274
F5 0.2763 0.6328 0.9367
F6 0.3736 0.8557 0.0998
F7 0.4343 0.9625 0.7649
F8 0.7951 0.2824 0.1002
F9 0.9665 0.2902 0.5967
```

Main lines, in order of rising 2θ (10 to 80 degrees two-theta):
23.6 deg, d 3.773, I = 99; 23.8 deg, d 3.743, I = 99; 24.1 deg, d 3.694, I = 100; 33.6 deg, d 2.668, I = 13; 34.2 deg, d 2.623, I = 15; 48.2 deg, d 1.886, I = 23; 48.6 deg, d 1.872, I = 20; 49.3 deg, d 1.847, I = 19; 54.2 deg, d 1.691, I = 20; 55.0 deg, d 1.669, I = 22


Diffraction record for V2OF5. The PXRD pattern is simulated, not measured: it uses a DFT-relaxed cell (GGA+U, the Materials Project) and Cu Ka.
Peak positions follow from Bragg's law for the DFT cell and can differ from measured ones.

Structure:
```
data_V2OF5
_chemical_formula_sum 'V6 O3 F15'
_symmetry_space_group_name_H-M 'P 31 2 1'
_symmetry_Int_Tables_number 152
_cell_length_a 5.2526
_cell_length_b 5.2526
_cell_length_c 13.4981
_cell_angle_alpha 90.00
_cell_angle_beta 90.00
_cell_angle_gamma 120.00
loop_
_symmetry_equiv_pos_as_xyz
'x,y,z'
'-y,x-y,z+1/3'
'-x+y,-x,z+2/3'
'y,x,-z'
'x-y,-y,-z+2/3'
'-x,-x+y,-z+1/3'
loop_
_atom_site_label
_atom_site_fract_x
_atom_site_fract_y
_atom_site_fract_z
V1 0.0137 0.3235 0.4209
O1 0.0000 0.8904 0.1667
F1 0.0000 0.7408 0.6667
F2 0.0719 0.6590 0.9945
F3 0.2765 0.6857 0.4970
```

Main lines, in order of rising 2θ (10 to 80 degrees two-theta):
23.6 deg, d 3.772, I = 100; 33.1 deg, d 2.710, I = 13; 34.1 deg, d 2.626, I = 6; 39.7 deg, d 2.268, I = 16; 48.3 deg, d 1.886, I = 22; 53.6 deg, d 1.709, I = 22; 55.1 deg, d 1.666, I = 12; 61.1 deg, d 1.516, I = 7; 69.3 deg, d 1.355, I = 6; 76.9 deg, d 1.240, I = 6


Diffraction record for V4O7F5. The PXRD pattern is simulated, not measured: it uses a DFT-relaxed cell (GGA+U, the Materials Project) and Cu Ka.
Peak positions follow from Bragg's law for the DFT cell and can differ from measured ones.

Structure:
```
data_V4O7F5
_chemical_formula_sum 'V4 O7 F5'
_symmetry_space_group_name_H-M 'P 1'
_symmetry_Int_Tables_number 1
_cell_length_a 5.2806
_cell_length_b 5.2878
_cell_length_c 9.0396
_cell_angle_alpha 73.67
_cell_angle_beta 89.16
_cell_angle_gamma 60.79
loop_
_symmetry_equiv_pos_as_xyz
'x,y,z'
loop_
_atom_site_label
_atom_site_fract_x
_atom_site_fract_y
_atom_site_fract_z
V1 0.0000 0.0000 0.0000
V2 0.1845 0.4911 0.7366
V3 0.4111 0.9938 0.5021
V4 0.6905 0.4767 0.2418
O1 0.1353 0.2283 0.3566
O2 0.1481 0.2211 0.9233
O3 0.2939 0.2216 0.6371
O4 0.3171 0.7285 0.6009
O5 0.3290 0.7177 0.1762
O6 0.7841 0.2295 0.1398
O7 0.8321 0.7138 0.6703
F1 0.1980 0.7004 0.8879
F2 0.6410 0.2313 0.4261
F3 0.6600 0.1984 0.8506
F4 0.6714 0.7407 0.3855
F5 0.8251 0.7185 0.1055
```

Main lines, in order of rising 2θ (10 to 80 degrees two-theta):
23.4 deg, d 3.803, I = 54; 24.0 deg, d 3.708, I = 100; 33.5 deg, d 2.673, I = 14; 33.9 deg, d 2.642, I = 9; 39.5 deg, d 2.279, I = 6; 47.8 deg, d 1.901, I = 10; 49.1 deg, d 1.857, I = 11; 49.2 deg, d 1.851, I = 11; 53.9 deg, d 1.701, I = 9; 70.4 deg, d 1.337, I = 6


Diffraction record for V2OF5. The PXRD pattern is simulated, not measured: it uses a DFT-relaxed cell (GGA+U, the Materials Project) and Cu Ka.
Peak positions follow from Bragg's law for the DFT cell and can differ from measured ones.

Structure:
```
data_V2OF5
_chemical_formula_sum 'V8 O4 F20'
_symmetry_space_group_name_H-M 'P 1'
_symmetry_Int_Tables_number 1
_cell_length_a 5.2661
_cell_length_b 5.4338
_cell_length_c 17.4398
_cell_angle_alpha 83.07
_cell_angle_beta 81.54
_cell_angle_gamma 61.10
loop_
_symmetry_equiv_pos_as_xyz
'x,y,z'
loop_
_atom_site_label
_atom_site_fract_x
_atom_site_fract_y
_atom_site_fract_z
V1 0.0000 0.0000 0.0000
V2 0.1007 0.1448 0.6305
V3 0.2098 0.2760 0.2462
V4 0.3554 0.3528 0.8830
V5 0.4810 0.5034 0.4998
V6 0.6219 0.6272 0.1286
V7 0.7402 0.7338 0.7502
V8 0.8431 0.9121 0.3798
O1 0.0014 0.4163 0.6862
O2 0.2107 0.2056 0.9546
O3 0.7433 0.1862 0.4333
O4 0.9911 0.4212 0.1741
F1 0.0256 0.0373 0.2885
F2 0.2008 0.8280 0.5643
F3 0.2351 0.8410 0.0890
F4 0.2384 0.6803 0.4135
F5 0.2608 0.2973 0.5383
F6 0.2882 0.6708 0.9415
F7 0.4407 0.4720 0.2163
F8 0.4565 0.0669 0.8097
F9 0.4699 0.0845 0.3329
F10 0.4966 0.9110 0.6627
F11 0.5161 0.5342 0.7954
F12 0.5204 0.9557 0.1875
F13 0.6986 0.7101 0.4624
F14 0.7118 0.3150 0.0642
F15 0.7201 0.3241 0.5864
F16 0.7547 0.1532 0.9121
F17 0.7878 0.7869 0.0396
F18 0.9555 0.5694 0.3187
F19 0.9618 0.9390 0.7102
F20 0.9813 0.5849 0.8374
```

Main lines, in order of rising 2θ (10 to 80 degrees two-theta):
23.5 deg, d 3.781, I = 100; 23.6 deg, d 3.767, I = 51; 33.0 deg, d 2.716, I = 20; 39.7 deg, d 2.273, I = 18; 39.8 deg, d 2.265, I = 8; 48.1 deg, d 1.892, I = 11; 48.2 deg, d 1.888, I = 10; 48.3 deg, d 1.883, I = 10; 53.5 deg, d 1.712, I = 28; 53.7 deg, d 1.708, I = 7